Starting from a structure optimized by DFT (PBE+U), the powder XRD pattern of Li2CoOF3 was computed for Cu Ka.
No peak broadening, texture or thermal motion is included.

Crystal structure
```
Li2CoOF3
1.0
5.1885 -2.9202 0.0000
5.1885 2.9202 0.0000
-3.2400 0.0000 4.8951
Li Co O F
4 2 2 6
Cartesian
0.0000 0.0000 0.0000
-1.6200 0.0000 2.4476
1.9922 0.0000 2.9753
5.1448 0.0000 1.9198
2.5943 1.4601 0.0000
2.5943 -1.4601 0.0000
1.9844 0.0000 0.9219
5.1527 0.0000 3.9732
4.2758 1.5358 1.1591
0.1350 0.0000 3.5777
2.8613 1.5359 3.7360
4.2758 -1.5359 1.1591
7.0021 0.0000 1.3174
2.8613 -1.5358 3.7360
```

Peak list (8 most intense, 5 to 70 degrees two-theta, in order of falling intensity)
d 4.821, I = 100.0; d 4.895, I = 90.9; d 2.070, I = 68.4; d 4.327, I = 45.8; d 2.163, I = 41.2; d 2.508, I = 31.5; d 2.498, I = 28.7; d 2.935, I = 28.1